Starting from the PBE geometry in Alexandria, the powder diffractogram of Al15Ni3Ge4 was computed for λ = 1.5418 Å (Cu Kα).
Peak positions follow from Bragg's law for the DFT cell and can differ from measured ones.

Main lines, sorted by position (15° ≤ 2θ ≤ 90°):
2θ = 24.62°, rel. 67.8; 2θ = 27.01°, rel. 64.4; 2θ = 29.22°, rel. 37.2; 2θ = 44.84°, rel. 100.0; 2θ = 46.30°, rel. 59.8; 2θ = 49.12°, rel. 25.0

Crystal structure
a = 9.9026 Å, b = 9.9026 Å, c = 9.9026 Å
α = 109.47°, β = 109.47°, γ = 109.47°
Fractional positions:
Al 0.0000 0.1911 0.1911
Al 0.0000 0.2444 0.5218
Al 0.0000 0.5090 0.7259
Al 0.0000 0.5218 0.2444
Al 0.0000 0.7259 0.5090
Al 0.0000 0.8089 0.8089
Al 0.1911 0.0000 0.1911
Al 0.1911 0.1911 0.0000
Al 0.2168 0.4910 0.4910
Al 0.2444 0.0000 0.5218
Al 0.2444 0.5218 0.0000
Al 0.2741 0.2741 0.7832
Al 0.2741 0.7832 0.2741
Al 0.2774 0.7556 0.7556
Al 0.4782 0.4782 0.7226
Al 0.4782 0.7226 0.4782
Al 0.4910 0.2168 0.4910
Al 0.4910 0.4910 0.2168
Al 0.5090 0.0000 0.7259
Al 0.5090 0.7259 0.0000
Al 0.5218 0.0000 0.2444
Al 0.5218 0.2444 0.0000
Al 0.7226 0.4782 0.4782
Al 0.7259 0.0000 0.5090
Al 0.7259 0.5090 0.0000
Al 0.7556 0.2774 0.7556
Al 0.7556 0.7556 0.2774
Al 0.7832 0.2741 0.2741
Al 0.8089 0.0000 0.8089
Al 0.8089 0.8089 0.0000
Ni 0.2500 0.5000 0.7500
Ni 0.2500 0.7500 0.5000
Ni 0.5000 0.2500 0.7500
Ni 0.5000 0.7500 0.2500
Ni 0.7500 0.2500 0.5000
Ni 0.7500 0.5000 0.2500
Ge 0.0000 0.0000 0.3263
Ge 0.0000 0.0000 0.6638
Ge 0.0000 0.3263 0.0000
Ge 0.0000 0.6638 0.0000
Ge 0.3263 0.0000 0.0000
Ge 0.3362 0.3362 0.3362
Ge 0.6638 0.0000 0.0000
Ge 0.6737 0.6737 0.6737